Simulated powder diffraction line list
Compound: EuHgAu2
Radiation: copper Kα
Structure: a structure optimized by DFT (GGA-PBE)

Structure:
abc: 7.2731 7.2731 7.2731
angles: 90.00 90.00 90.00
Atoms (fractional coordinates):
Eu: 0.0000 0.0000 0.0000
Eu: 0.0000 0.5000 0.5000
Eu: 0.5000 0.0000 0.5000
Eu: 0.5000 0.5000 0.0000
Hg: 0.0000 0.0000 0.5000
Hg: 0.0000 0.5000 0.0000
Hg: 0.5000 0.0000 0.0000
Hg: 0.5000 0.5000 0.5000
Au: 0.2500 0.2500 0.2500
Au: 0.2500 0.2500 0.7500
Au: 0.2500 0.7500 0.2500
Au: 0.2500 0.7500 0.7500
Au: 0.7500 0.2500 0.2500
Au: 0.7500 0.2500 0.7500
Au: 0.7500 0.7500 0.2500
Au: 0.7500 0.7500 0.7500

Most intense lines, 2θ from 10° to 80°, low angle first:
| 2theta | Rel. int. |
| --- | --- |
| 21.16 | 1 |
| 34.89 | 100 |
| 41.16 | 1 |
| 50.17 | 18 |
| 62.57 | 38 |
| 73.68 | 12 |

=====

Simulated powder diffraction line list
Compound: EuIn2Au
Radiation: copper Kα
Structure: a structure optimized by DFT (GGA-PBE)

Structure:
abc: 4.7080 11.1653 7.6870
angles: 90.00 90.00 90.00
Atoms (fractional coordinates):
Eu: 0.0000 0.0761 0.2500
Eu: 0.0000 0.9239 0.7500
Eu: 0.5000 0.4239 0.7500
Eu: 0.5000 0.5761 0.2500
In: 0.0000 0.3663 0.0509
In: 0.0000 0.3663 0.4491
In: 0.0000 0.6337 0.5509
In: 0.0000 0.6337 0.9491
In: 0.5000 0.1337 0.5509
In: 0.5000 0.1337 0.9491
In: 0.5000 0.8663 0.0509
In: 0.5000 0.8663 0.4491
Au: 0.0000 0.2114 0.7500
Au: 0.0000 0.7886 0.2500
Au: 0.5000 0.2886 0.2500
Au: 0.5000 0.7114 0.7500

Most intense lines, 2θ from 10° to 80°, low angle first:
| 2theta | Rel. int. |
| --- | --- |
| 15.87 | 15 |
| 31.09 | 94 |
| 32.81 | 100 |
| 34.17 | 40 |
| 38.23 | 48 |
| 38.71 | 51 |
| 40.90 | 33 |
| 52.21 | 24 |
| 61.37 | 22 |
| 69.04 | 19 |

=====

Simulated powder diffraction line list
Compound: EuIn3Au3
Radiation: copper Kα
Structure: a structure optimized by DFT (GGA-PBE)

Structure:
abc: 4.5934 7.7720 9.1851
angles: 90.00 90.00 90.00
Atoms (fractional coordinates):
Eu: 0.2500 0.2500 0.2300
Eu: 0.7500 0.7500 0.7700
In: 0.2500 0.0514 0.6162
In: 0.2500 0.4486 0.6162
In: 0.2500 0.7500 0.1337
In: 0.7500 0.2500 0.8663
In: 0.7500 0.5514 0.3838
In: 0.7500 0.9486 0.3838
Au: 0.2500 0.0212 0.9121
Au: 0.2500 0.4788 0.9121
Au: 0.2500 0.7500 0.4524
Au: 0.7500 0.2500 0.5476
Au: 0.7500 0.5212 0.0879
Au: 0.7500 0.9788 0.0879

Most intense lines, 2θ from 10° to 80°, low angle first:
| 2theta | Rel. int. |
| --- | --- |
| 24.88 | 18 |
| 29.82 | 21 |
| 31.40 | 30 |
| 31.69 | 100 |
| 35.23 | 25 |
| 39.23 | 49 |
| 39.95 | 18 |
| 42.43 | 44 |
| 44.09 | 18 |
| 46.75 | 17 |

=====

Simulated powder diffraction line list
Compound: EuInAu2
Radiation: copper Kα
Structure: a structure optimized by DFT (GGA-PBE)

Structure:
abc: 7.1440 7.1440 7.1440
angles: 90.00 90.00 90.00
Atoms (fractional coordinates):
Eu: 0.0000 0.0000 0.0000
Eu: 0.0000 0.5000 0.5000
Eu: 0.5000 0.0000 0.5000
Eu: 0.5000 0.5000 0.0000
In: 0.0000 0.0000 0.5000
In: 0.0000 0.5000 0.0000
In: 0.5000 0.0000 0.0000
In: 0.5000 0.5000 0.5000
Au: 0.2500 0.2500 0.2500
Au: 0.2500 0.2500 0.7500
Au: 0.2500 0.7500 0.2500
Au: 0.2500 0.7500 0.7500
Au: 0.7500 0.2500 0.2500
Au: 0.7500 0.2500 0.7500
Au: 0.7500 0.7500 0.2500
Au: 0.7500 0.7500 0.7500

Most intense lines, 2θ from 10° to 80°, low angle first:
| 2theta | Rel. int. |
| --- | --- |
| 21.54 | 1 |
| 24.93 | 4 |
| 35.54 | 100 |
| 43.90 | 1 |
| 51.14 | 18 |
| 57.71 | 2 |
| 63.83 | 37 |
| 75.24 | 11 |

=====

Simulated powder diffraction line list
Compound: LaEuAu2
Radiation: copper Kα
Structure: a structure optimized by DFT (GGA-PBE)

Structure:
abc: 7.5641 7.5641 7.5641
angles: 90.00 90.00 90.00
Atoms (fractional coordinates):
La: 0.0000 0.0000 0.0000
La: 0.0000 0.5000 0.5000
La: 0.5000 0.0000 0.5000
La: 0.5000 0.5000 0.0000
Eu: 0.0000 0.0000 0.5000
Eu: 0.0000 0.5000 0.0000
Eu: 0.5000 0.0000 0.0000
Eu: 0.5000 0.5000 0.5000
Au: 0.2500 0.2500 0.2500
Au: 0.2500 0.2500 0.7500
Au: 0.2500 0.7500 0.2500
Au: 0.2500 0.7500 0.7500
Au: 0.7500 0.2500 0.2500
Au: 0.7500 0.2500 0.7500
Au: 0.7500 0.7500 0.2500
Au: 0.7500 0.7500 0.7500

Most intense lines, 2θ from 10° to 80°, low angle first:
| 2theta | Rel. int. |
| --- | --- |
| 23.52 | 3 |
| 33.51 | 100 |
| 41.35 | 1 |
| 48.12 | 18 |
| 54.23 | 1 |
| 59.91 | 38 |
| 70.41 | 12 |
| 75.40 | 1 |

=====

Simulated powder diffraction line list
Compound: Eu4Au2O9
Radiation: copper Kα
Structure: a structure optimized by DFT (GGA-PBE)

Structure:
abc: 11.9960 6.1814 11.9410
angles: 90.00 90.00 90.00
Atoms (fractional coordinates):
Eu: 0.0046 0.2430 0.0878
Eu: 0.0046 0.7570 0.5878
Eu: 0.1600 0.1987 0.7606
Eu: 0.1600 0.8013 0.2606
Eu: 0.3400 0.3013 0.2606
Eu: 0.3400 0.6987 0.7606
Eu: 0.4954 0.2570 0.5878
Eu: 0.4954 0.7430 0.0878
Eu: 0.5046 0.2570 0.9122
Eu: 0.5046 0.7430 0.4122
Eu: 0.6600 0.3013 0.2394
Eu: 0.6600 0.6987 0.7394
Eu: 0.8400 0.1987 0.7394
Eu: 0.8400 0.8013 0.2394
Eu: 0.9954 0.2430 0.4122
Eu: 0.9954 0.7570 0.9122
Au: 0.2311 0.4238 0.5101
Au: 0.2311 0.5762 0.0101
Au: 0.2689 0.0762 0.0101
Au: 0.2689 0.9238 0.5101
Au: 0.7311 0.0762 0.4899
Au: 0.7311 0.9238 0.9899
Au: 0.7689 0.4238 0.9899
Au: 0.7689 0.5762 0.4899
O: 0.0000 0.0245 0.2500
O: 0.0000 0.9755 0.7500
O: 0.0797 0.3935 0.5865
O: 0.0797 0.6065 0.0865
O: 0.1132 0.0643 0.9449
O: 0.1132 0.9357 0.4449
O: 0.1641 0.4446 0.3527
O: 0.1641 0.5554 0.8527
O: 0.1951 0.1231 0.1592
O: 0.1951 0.8769 0.6592
O: 0.3049 0.3769 0.6592
O: 0.3049 0.6231 0.1592
O: 0.3359 0.0554 0.8527
O: 0.3359 0.9446 0.3527
O: 0.3868 0.4357 0.4449
O: 0.3868 0.5643 0.9449
O: 0.4203 0.1065 0.0865
O: 0.4203 0.8935 0.5865
O: 0.5000 0.4755 0.7500
O: 0.5000 0.5245 0.2500
O: 0.5797 0.1065 0.4135
O: 0.5797 0.8935 0.9135
O: 0.6132 0.4357 0.0551
O: 0.6132 0.5643 0.5551
O: 0.6641 0.0554 0.6473
O: 0.6641 0.9446 0.1473
O: 0.6951 0.3769 0.8408
O: 0.6951 0.6231 0.3408
O: 0.8049 0.1231 0.3408
O: 0.8049 0.8769 0.8408
O: 0.8359 0.4446 0.1473
O: 0.8359 0.5554 0.6473
O: 0.8868 0.0643 0.5551
O: 0.8868 0.9357 0.0551
O: 0.9203 0.3935 0.9135
O: 0.9203 0.6065 0.4135

Most intense lines, 2θ from 10° to 80°, low angle first:
| 2theta | Rel. int. |
| --- | --- |
| 14.81 | 28 |
| 27.64 | 100 |
| 30.80 | 34 |
| 32.60 | 25 |
| 33.48 | 69 |
| 35.98 | 30 |
| 37.57 | 16 |
| 46.63 | 23 |
| 50.43 | 17 |
| 52.41 | 14 |

=====

Simulated powder diffraction line list
Compound: Eu3AuO6
Radiation: copper Kα
Structure: a structure optimized by DFT (GGA-PBE)

Structure:
abc: 3.7594 5.6791 7.2130
angles: 90.54 102.54 91.01
Atoms (fractional coordinates):
Eu: 0.0000 0.0000 0.0000
Eu: 0.3864 0.4752 0.7311
Eu: 0.6136 0.5248 0.2689
Au: 0.0000 0.0000 0.5000
O: 0.1249 0.7975 0.2921
O: 0.1592 0.3025 0.3874
O: 0.4846 0.7456 0.9783
O: 0.5154 0.2544 0.0217
O: 0.8408 0.6975 0.6126
O: 0.8751 0.2025 0.7079

Most intense lines, 2θ from 10° to 80°, low angle first:
| 2theta | Rel. int. |
| --- | --- |
| 28.70 | 94 |
| 29.25 | 74 |
| 29.67 | 100 |
| 30.05 | 88 |
| 31.15 | 57 |
| 31.51 | 60 |
| 39.13 | 30 |
| 44.79 | 38 |
| 45.01 | 31 |
| 50.50 | 27 |

=====

Simulated powder diffraction line list
Compound: EuPAu
Radiation: copper Kα
Structure: a structure optimized by DFT (GGA-PBE)

Structure:
abc: 4.3306 4.3306 8.2769
angles: 90.00 90.00 120.00
Atoms (fractional coordinates):
Eu: 0.0000 0.0000 0.0000
Eu: 0.0000 0.0000 0.5000
P: 0.3333 0.6667 0.2500
P: 0.6667 0.3333 0.7500
Au: 0.3333 0.6667 0.7500
Au: 0.6667 0.3333 0.2500

Most intense lines, 2θ from 10° to 80°, low angle first:
| 2theta | Rel. int. |
| --- | --- |
| 26.08 | 49 |
| 32.21 | 100 |
| 40.59 | 16 |
| 41.71 | 50 |
| 43.75 | 15 |
| 49.86 | 9 |
| 53.66 | 24 |
| 62.04 | 31 |
| 70.18 | 21 |
| 73.09 | 10 |